Starting from the GGA-PBE geometry in the Materials Project, the X-ray powder pattern of RbLaSe2O8 was computed for Cu Ka.

Atomic structure:
```
RbLaSe2O8
1.0
9.104 0.000 0.000
0.000 7.624 0.000
-0.312 0.000 11.358
Rb La Se O
4 4 8 32
Direct
0.067 0.151 0.338 Rb
0.067 0.349 0.838 Rb
0.933 0.651 0.162 Rb
0.933 0.849 0.662 Rb
0.443 0.664 0.652 La
0.443 0.836 0.152 La
0.557 0.164 0.848 La
0.557 0.336 0.348 La
0.222 0.661 0.411 Se
0.222 0.839 0.911 Se
0.311 0.164 0.607 Se
0.311 0.336 0.107 Se
0.689 0.664 0.893 Se
0.689 0.836 0.393 Se
0.778 0.161 0.089 Se
0.778 0.339 0.589 Se
0.092 0.523 0.372 O
0.092 0.977 0.872 O
0.133 0.136 0.606 O
0.133 0.364 0.106 O
0.202 0.747 0.044 O
0.202 0.753 0.544 O
0.246 0.685 0.807 O
0.246 0.815 0.307 O
0.360 0.162 0.194 O
0.360 0.338 0.694 O
0.370 0.183 0.469 O
0.370 0.317 0.969 O
0.387 0.561 0.440 O
0.387 0.939 0.940 O
0.408 0.003 0.679 O
0.408 0.497 0.179 O
0.592 0.503 0.821 O
0.592 0.997 0.321 O
0.613 0.061 0.060 O
0.613 0.439 0.560 O
0.630 0.683 0.031 O
0.630 0.817 0.531 O
0.640 0.662 0.306 O
0.640 0.838 0.806 O
0.754 0.185 0.693 O
0.754 0.315 0.193 O
0.798 0.247 0.456 O
0.798 0.253 0.956 O
0.867 0.636 0.894 O
0.867 0.864 0.394 O
0.908 0.023 0.128 O
0.908 0.477 0.628 O
```

Peak list (10 most intense, 2θ = 10–90°, low angle first)
Position (°2θ)	d/Å	I/Imax	hkl
23.34	3.812	17.7	0 2 0
24.73	3.600	58.4	2 0 -2
26.46	3.369	100.0	1 2 -1
27.40	3.255	21.0	2 1 -2
28.02	3.184	73.5	2 1 2
28.31	3.152	23.7	1 1 3
31.51	2.840	25.5	0 0 4
41.42	2.180	27.1	4 1 0
44.21	2.049	29.8	1 3 3
47.46	1.916	46.3	3 3 1